The following is a simulated powder XRD pattern of PrPaN2F. It was derived from a structure optimized by DFT (PBE), using Cu Ka.

Largest 12 diffraction maxima, low angle first, 2θ = 15–90°:
| hkl | 2θ/deg | Rel. int. |
| --- | --- | --- |
| 1 0 2 | 29.4 | 100.0 |
| 0 0 4 | 30.5 | 19.5 |
| 1 0 3 | 34.1 | 9.7 |
| 1 1 0 | 35.7 | 37.1 |
| 0 0 5 | 38.3 | 6.9 |
| 1 1 4 | 47.7 | 29.0 |
| 2 0 0 | 51.4 | 15.8 |
| 1 0 6 | 53.5 | 21.1 |
| 2 1 2 | 60.4 | 27.9 |
| 2 0 4 | 61.0 | 11.4 |
| 1 0 7 | 61.1 | 7.0 |
| 2 1 6 | 77.4 | 9.2 |

Crystal structure
```
data_PrPaN2F
_chemical_formula_sum 'Pr2 Pa2 N4 F2'
_symmetry_space_group_name_H-M 'P 4/n m m'
_symmetry_Int_Tables_number 129
_cell_length_a 3.552
_cell_length_b 3.552
_cell_length_c 11.738
_cell_angle_alpha 90.00
_cell_angle_beta 90.00
_cell_angle_gamma 90.00
loop_
_symmetry_equiv_pos_as_xyz
'x,y,z'
'-x,-y,-z'
'-y+1/2,x,z'
'y+1/2,-x,-z'
'-x+1/2,-y+1/2,z'
'x+1/2,y+1/2,-z'
'y,-x+1/2,z'
'-y,x+1/2,-z'
'x+1/2,-y,-z'
'-x+1/2,y,z'
'-y,-x,-z'
'y,x,z'
'-x,y+1/2,-z'
'x,-y+1/2,z'
'y+1/2,x+1/2,-z'
'-y+1/2,-x+1/2,z'
loop_
_atom_site_label
_atom_site_type_symbol
_atom_site_fract_x
_atom_site_fract_y
_atom_site_fract_z
_atom_site_occupancy
Pr1 Pr 0.250 0.250 0.148 1
Pa1 Pa 0.250 0.250 0.609 1
N1 N 0.250 0.250 0.390 1
N2 N 0.250 0.250 0.786 1
F1 F 0.250 0.750 0.000 1
```